[1]
Starting from a DFT-relaxed cell (PBE, OQMD), the powder diffraction line list of ReTe4Se was calculated for λ = 1.5418 Å (Cu Kα).
Kinematic intensities with the Lorentz-polarization factor, no thermal factor.

Atomic structure:
abc: 7.457 7.514 7.779
angles: 95.77 107.28 107.95
Space group P-1 (No. 2)
Unique sites:
Re 0.233 0.042 0.012 x2
Te 0.066 0.673 0.808 x2
Te 0.084 0.007 0.287 x2
Te 0.270 0.425 0.053 x2
Te 0.473 0.099 0.801 x2
Se 0.450 0.749 0.704 x2

Main lines, sorted by position (10° ≤ 2θ ≤ 80°):
2theta, Rel. int., index
12.2, 1000, 0 0 1
12.7, 450, 0 1 0
15.6, 194, 0 1 -1
29.5, 507, 2 0 -2
30.4, 170, 1 -1 2
30.7, 203, 0 2 1
33.8, 155, 2 -2 1
36.0, 226, 1 -3 0
37.0, 125, 1 -3 1
37.6, 113, 2 0 -3
45.4, 112, 1 3 -2
49.0, 122, -3 3 2

[2]
Starting from a DFT-relaxed cell (PBE, OQMD), the powder diffraction line list of Er2CoS2 was calculated for λ = 1.5418 Å (Cu Kα).
Kinematic intensities with the Lorentz-polarization factor, no thermal factor.

Atomic structure:
abc: 7.462 7.474 7.514
angles: 90.00 90.00 90.00
Space group Fmmm (No. 69)
Unique sites:
Er 0.250 0.250 0.250 x8
Co 0.000 0.000 0.000 x4
S 0.214 0.000 0.500 x8

Main lines, sorted by position (10° ≤ 2θ ≤ 80°):
2theta, Rel. int., index
23.7, 148, 0 0 2
23.8, 560, 2 0 0
33.8, 1000, 0 2 2
34.0, 342, 2 2 0
41.8, 370, 2 2 2
48.5, 117, 0 0 4
48.8, 218, 0 4 0
54.7, 120, 2 0 4
54.9, 161, 2 4 0
60.5, 132, 2 2 4
60.7, 343, 4 2 2
71.2, 138, 0 4 4

[3]
Starting from a DFT-relaxed cell (PBE, OQMD), the powder diffraction line list of Cs2TcAgF6 was calculated for λ = 1.5418 Å (Cu Kα).
Kinematic intensities with the Lorentz-polarization factor, no thermal factor.

Atomic structure:
abc: 6.0641 6.0641 15.3834
angles: 90.00 90.00 120.00
Space group R-3m (No. 166, hexagonal axes)
Unique sites:
Cs 0.0000 0.0000 0.2413 x6
Tc 0.0000 0.0000 0.0000 x3
Ag 0.0000 0.0000 0.5000 x3
F 0.0080 0.5040 0.7370 x18

Main lines, sorted by position (10° ≤ 2θ ≤ 80°):
2theta, Rel. int., index
28.8, 1000, 1 0 4
29.5, 954, 1 1 0
36.1, 75, 2 0 2
41.6, 646, 0 2 4
50.5, 192, 0 1 8
51.8, 378, 2 1 4
52.3, 190, 3 0 0
59.6, 185, 2 0 8
61.1, 201, 2 2 0
67.9, 164, 1 2 8
68.9, 165, 1 3 4
76.7, 96, 4 0 4

[4]
Starting from a DFT-relaxed cell (PBE, OQMD), the powder diffraction line list of InIr8 was calculated for λ = 1.5418 Å (Cu Kα).
Kinematic intensities with the Lorentz-polarization factor, no thermal factor.

Atomic structure:
abc: 8.614 3.863 29.559
angles: 90.00 90.05 90.00
Space group C2/m (No. 12)
Unique sites:
In 0.049 0.000 0.257 x4
Ir 0.049 0.000 0.956 x4
Ir 0.052 0.500 0.810 x4
Ir 0.053 0.500 0.102 x4
Ir 0.149 0.000 0.868 x4
Ir 0.150 0.500 0.014 x4
Ir 0.152 0.000 0.162 x4
Ir 0.248 0.500 0.926 x4
Ir 0.249 0.500 0.219 x4

Main lines, sorted by position (10° ≤ 2θ ≤ 80°):
2theta, Rel. int., index
37.4, 305, 1 1 -9
39.8, 1000, 1 1 -10
40.2, 893, 3 1 3
41.0, 692, 3 1 4
42.3, 510, 1 1 -11
45.1, 271, 2 0 13
46.0, 196, 4 0 -6
47.0, 326, 0 2 0
47.1, 254, 0 2 1
47.4, 305, 4 0 -7
48.0, 282, 2 0 14
69.0, 201, 4 2 -7